The following is a computed XRD peak list of TlCuAs2PbS5. It was derived from a GGA-PBE-relaxed structure, using λ = 1.5418 Å (Cu Kα).
Intensities are scaled so that the largest is 100.

```
TlCuAs2PbS5
1.0
8.0262 0.0000 0.0000
3.5689 7.3616 0.0000
2.5677 2.9371 8.2473
Tl Cu As Pb S
2 2 4 2 10
direct
0.1946 0.3468 0.3744
0.8054 0.6532 0.6256
0.3815 0.7500 0.4062
0.6185 0.2500 0.5938
0.0469 0.8772 0.6869
0.4046 0.4597 0.8586
0.5954 0.5403 0.1414
0.9531 0.1228 0.3131
0.2548 0.0412 0.9059
0.7452 0.9588 0.0941
0.1331 0.6896 0.9449
0.1455 0.8452 0.2594
0.3175 0.4137 0.6678
0.3218 0.9192 0.5733
0.3700 0.2050 0.0803
0.6300 0.7950 0.9197
0.6782 0.0808 0.4267
0.6825 0.5863 0.3322
0.8545 0.1548 0.7406
0.8669 0.3104 0.0551
```

Largest 8 diffraction maxima, by angle, 2θ from 5° to 70°:
| two_theta | I (rel.) |
| --- | --- |
| 23.5 | 42 |
| 24.8 | 38 |
| 26.0 | 100 |
| 26.2 | 75 |
| 26.4 | 37 |
| 30.4 | 98 |
| 31.3 | 76 |
| 33.5 | 69 |

***

The following is a computed XRD peak list of Cu3AsS3. It was derived from a GGA-PBE-relaxed structure, using λ = 1.5418 Å (Cu Kα).
Intensities are scaled so that the largest is 100.

```
Cu3AsS3
1.0
-4.9827 4.9827 4.9827
4.9827 -4.9827 4.9827
4.9827 4.9827 -4.9827
Cu As S
12 4 12
direct
0.0000 0.1821 0.1821
0.0000 0.8179 0.8179
0.1821 0.0000 0.1821
0.1821 0.1821 0.0000
0.2500 0.5000 0.7500
0.2500 0.7500 0.5000
0.5000 0.2500 0.7500
0.5000 0.7500 0.2500
0.7500 0.2500 0.5000
0.7500 0.5000 0.2500
0.8179 0.0000 0.8179
0.8179 0.8179 0.0000
0.0000 0.0000 0.4745
0.0000 0.4745 0.0000
0.4745 0.0000 0.0000
0.5255 0.5255 0.5255
0.0000 0.5334 0.7614
0.0000 0.7614 0.5334
0.2280 0.4666 0.4666
0.2386 0.2386 0.7720
0.2386 0.7720 0.2386
0.4666 0.2280 0.4666
0.4666 0.4666 0.2280
0.5334 0.0000 0.7614
0.5334 0.7614 0.0000
0.7614 0.0000 0.5334
0.7614 0.5334 0.0000
0.7720 0.2386 0.2386
```

Largest 8 diffraction maxima, by angle, 2θ from 5° to 70°:
| two_theta | I (rel.) |
| --- | --- |
| 31.1 | 100 |
| 36.1 | 16 |
| 38.3 | 13 |
| 46.5 | 20 |
| 50.1 | 11 |
| 51.9 | 37 |
| 57.0 | 12 |
| 61.7 | 22 |

***

The following is a computed XRD peak list of Cu6As4S9. It was derived from a GGA-PBE-relaxed structure, using λ = 1.5418 Å (Cu Kα).
Intensities are scaled so that the largest is 100.

```
Cu6As4S9
1.0
9.1366 0.0000 0.0000
-3.0418 8.6226 0.0000
-0.0137 -3.2024 9.3661
Cu As S
12 8 18
direct
0.0000 0.0000 0.0000
0.0255 0.1298 0.4118
0.1201 0.4460 0.2068
0.1659 0.5772 0.6026
0.2311 0.7239 0.9915
0.2660 0.8881 0.4113
0.3948 0.1986 0.1978
0.5722 0.7714 0.7945
0.6428 0.9281 0.2156
0.6709 0.0780 0.6066
0.7212 0.2418 0.0034
0.8168 0.5325 0.7954
0.1054 0.2966 0.8211
0.3382 0.0689 0.8187
0.4133 0.3206 0.6044
0.4702 0.4845 0.9890
0.5600 0.6491 0.3990
0.7787 0.4011 0.3856
0.8842 0.7053 0.2302
0.9140 0.8209 0.6002
0.0180 0.3758 0.4008
0.0654 0.5230 0.8022
0.1282 0.6983 0.2008
0.1808 0.8371 0.6157
0.2434 0.9837 0.0036
0.2827 0.1407 0.3958
0.3738 0.4454 0.2093
0.4196 0.5808 0.5917
0.4865 0.7397 0.0066
0.5165 0.8786 0.4052
0.5721 0.0288 0.8085
0.6373 0.1752 0.2051
0.6761 0.3265 0.5938
0.7316 0.4961 0.0049
0.8329 0.7934 0.8077
0.8956 0.9427 0.1977
0.9261 0.0890 0.6141
0.9738 0.2417 0.0040
```

Largest 8 diffraction maxima, by angle, 2θ from 5° to 70°:
| two_theta | I (rel.) |
| --- | --- |
| 29.2 | 100 |
| 29.3 | 97 |
| 34.0 | 18 |
| 48.6 | 18 |
| 48.7 | 18 |
| 48.8 | 71 |
| 57.8 | 23 |
| 57.9 | 23 |

***

The following is a computed XRD peak list of Cu12Sb3AsS16. It was derived from a GGA-PBE-relaxed structure, using λ = 1.5418 Å (Cu Kα).
Intensities are scaled so that the largest is 100.

```
Cu12Sb3AsS16
1.0
15.2755 0.0000 0.0000
0.0000 3.8123 5.3562
0.0000 -3.8123 5.3562
Cu Sb As S
12 3 1 16
direct
0.0000 0.0000 0.0000
0.1234 0.4941 0.9995
0.1234 0.9995 0.4941
0.2483 0.4965 0.4965
0.3750 0.4967 0.9968
0.3750 0.9968 0.4967
0.5000 0.9974 0.9974
0.6250 0.4967 0.9968
0.6250 0.9968 0.4967
0.7517 0.4965 0.4965
0.8766 0.4941 0.9995
0.8766 0.9995 0.4941
0.2497 0.9969 0.9969
0.5000 0.4970 0.4970
0.7503 0.9969 0.9969
0.0000 0.4969 0.4969
0.0000 0.3718 0.8729
0.0000 0.8729 0.3718
0.1181 0.8635 0.8635
0.1240 0.3697 0.3697
0.2495 0.3952 0.8661
0.2495 0.8661 0.3952
0.3671 0.3633 0.3633
0.3821 0.8635 0.8635
0.5000 0.3651 0.8957
0.5000 0.8957 0.3651
0.6179 0.8635 0.8635
0.6329 0.3633 0.3633
0.7505 0.3952 0.8661
0.7505 0.8661 0.3952
0.8760 0.3697 0.3697
0.8819 0.8635 0.8635
```

Largest 8 diffraction maxima, by angle, 2θ from 5° to 70°:
| two_theta | I (rel.) |
| --- | --- |
| 28.7 | 100 |
| 33.2 | 10 |
| 47.6 | 10 |
| 47.7 | 10 |
| 47.9 | 38 |
| 56.6 | 13 |
| 56.6 | 13 |
| 56.9 | 13 |